For Hg2W2O7, a cell relaxed with PBE+U gives the computed PXRD pattern in this record (Cu Kα (weighted mean of Kα1 and Kα2)).

Structure:
a = 7.3854 Å, b = 7.4870 Å, c = 8.2212 Å
α = 114.18°, β = 91.51°, γ = 117.43°
Fractional positions:
1 Hg 0.1435 0.2976 0.1182
2 Hg 0.3521 0.2007 0.8815
3 Hg 0.6479 0.7993 0.1185
4 Hg 0.8565 0.7024 0.8818
5 W 0.1568 0.4626 0.6220
6 W 0.3441 0.0372 0.3773
7 W 0.6559 0.9628 0.6227
8 W 0.8432 0.5374 0.3780
9 O 0.0072 0.6332 0.6609
10 O 0.1083 0.7998 0.4003
11 O 0.2384 0.9436 0.1425
12 O 0.2461 0.2460 0.4987
13 O 0.2695 0.5610 0.8562
14 O 0.3915 0.6927 0.5909
15 O 0.4988 0.8723 0.3398
16 O 0.5012 0.1277 0.6602
17 O 0.6085 0.3073 0.4091
18 O 0.7305 0.4390 0.1438
19 O 0.7539 0.7540 0.5013
20 O 0.7616 0.0564 0.8575
21 O 0.8917 0.2002 0.5997
22 O 0.9928 0.3668 0.3391

Main lines, by angle (2θ from 5° to 70°):
| h k l | 2θ (°) | I (rel.) |
| --- | --- | --- |
| 1 -1 1 | 16.48 | 27.1 |
| -1 1 1 | 21.08 | 30.0 |
| 1 -1 2 | 25.36 | 100.0 |
| 1 1 0 | 25.55 | 85.3 |
| 0 2 -1 | 26.92 | 52.6 |
| 2 -2 1 | 28.60 | 39.7 |
| 0 2 -2 | 28.73 | 26.7 |
| 2 -2 0 | 28.97 | 31.6 |
| -1 1 2 | 31.58 | 44.8 |
| 2 0 -2 | 32.30 | 51.2 |
| 2 0 2 | 42.71 | 40.7 |
| 3 -3 3 | 50.95 | 28.3 |